Diffraction record for BaVGaO4. The powder XRD pattern is computed, not measured: it uses the PBE+U geometry in Alexandria and CuKα.
Lines closer than 0.1° are merged.

Peak list (6 most intense, 2θ = 10–80°, low angle first)
d/Å  2theta  I/Imax
4.915  18.05  24
4.257  20.87  44
3.010  29.68  100
1.904  47.78  19
1.738  52.67  38
1.505  61.63  17

Cell and atoms:
```
BaVGaO4
1.0
0.000 4.257 4.257
4.257 0.000 4.257
4.257 4.257 0.000
Ba V Ga O
1 1 1 4
Cartesian
0.000 0.000 0.000
6.385 6.385 6.385
4.257 4.257 4.257
5.306 3.208 3.208
3.208 5.306 3.208
3.208 3.208 5.306
5.306 5.306 5.306
```